(1)
This entry pairs a crystal structure of CsCuSbI5 with its computed XRD peak list. Radiation: Cu Kα X-rays. Structure: a DFT-relaxed cell (PBE, Alexandria).
Kinematic intensities with the Lorentz-polarization factor, no thermal factor.

Main lines, sorted by position (10° ≤ 2θ ≤ 90°):
| d/Å | 2θ/deg | intensity |
| --- | --- | --- |
| 5.193 | 17.08 | 627 |
| 3.657 | 24.34 | 514 |
| 3.589 | 24.81 | 1000 |
| 3.306 | 26.97 | 479 |
| 2.709 | 33.07 | 548 |
| 2.256 | 39.96 | 391 |

Cell and atoms:
abc: 10.2893 13.5426 11.4003
angles: 90.00 113.64 90.00
Space group C2/c (No. 15)
Symmetry-distinct sites (fractional):
Cs: 0.0000 0.1447 0.2500
Cu: 0.0000 0.1961 0.7500
Sb: 0.0000 0.5000 0.0000
I: 0.0000 0.4253 0.2500
I: 0.1024 0.2911 0.6066
I: 0.1957 0.0826 0.9254

---

(2)
This entry pairs a crystal structure of Pm2BeSbPd6 with its computed XRD peak list. Radiation: Cu Kα X-rays. Structure: a DFT-relaxed cell (PBE, Alexandria).
Kinematic intensities with the Lorentz-polarization factor, no thermal factor.

Main lines, sorted by position (10° ≤ 2θ ≤ 90°):
| d/Å | 2θ/deg | intensity |
| --- | --- | --- |
| 2.687 | 33.35 | 388 |
| 2.484 | 36.17 | 518 |
| 2.457 | 36.57 | 1000 |
| 2.256 | 39.96 | 925 |
| 2.215 | 40.74 | 379 |
| 1.418 | 65.89 | 311 |

Cell and atoms:
abc: 10.0135 5.8858 7.3796
angles: 90.00 116.86 90.00
Space group C2/m (No. 12)
Symmetry-distinct sites (fractional):
Pm: 0.2395 0.0000 0.2988
Be: 0.0000 0.5000 0.0000
Sb: 0.0000 0.0000 0.5000
Pd: 0.0751 0.2422 0.8534
Pd: 0.2134 0.5000 0.2553

---

(3)
This entry pairs a crystal structure of La5Dy8Y with its computed XRD peak list. Radiation: Cu Kα X-rays. Structure: a DFT-relaxed cell (PBE, Alexandria).
Kinematic intensities with the Lorentz-polarization factor, no thermal factor.

Main lines, sorted by position (10° ≤ 2θ ≤ 90°):
| d/Å | 2θ/deg | intensity |
| --- | --- | --- |
| 3.008 | 29.70 | 369 |
| 2.895 | 30.89 | 1000 |
| 2.880 | 31.05 | 489 |
| 2.787 | 32.12 | 453 |
| 2.742 | 32.65 | 427 |
| 1.918 | 47.41 | 190 |

Cell and atoms:
abc: 17.5664 3.5662 17.0391
angles: 90.00 118.32 90.00
Space group C2/m (No. 12)
Symmetry-distinct sites (fractional):
La: 0.0000 0.0000 0.0000
La: 0.1438 0.5000 0.9393
La: 0.2135 0.5000 0.6445
Dy: 0.0754 0.0000 0.7206
Dy: 0.0806 0.5000 0.2236
Dy: 0.1458 0.0000 0.4389
Dy: 0.2171 0.0000 0.1462
Y: 0.0000 0.5000 0.5000

---

(4)
This entry pairs a crystal structure of Ca4ErSe5 with its computed XRD peak list. Radiation: Cu Kα X-rays. Structure: a DFT-relaxed cell (PBE, Alexandria).
Kinematic intensities with the Lorentz-polarization factor, no thermal factor.

Main lines, sorted by position (10° ≤ 2θ ≤ 90°):
| d/Å | 2θ/deg | intensity |
| --- | --- | --- |
| 4.976 | 17.83 | 145 |
| 2.945 | 30.35 | 1000 |
| 2.083 | 43.45 | 735 |
| 1.700 | 53.92 | 258 |
| 1.317 | 71.65 | 318 |
| 1.202 | 79.76 | 237 |

Cell and atoms:
abc: 9.3180 9.3180 5.8847
angles: 90.00 90.00 90.00
Space group I4/m (No. 87)
Symmetry-distinct sites (fractional):
Ca: 0.0982 0.6993 0.0000
Er: 0.0000 0.0000 0.5000
Se: 0.0000 0.0000 0.0000
Se: 0.0980 0.7067 0.5000

---

(5)
This entry pairs a crystal structure of Pr3Cd4Ga2 with its computed XRD peak list. Radiation: Cu Kα X-rays. Structure: a DFT-relaxed cell (PBE, Alexandria).
Kinematic intensities with the Lorentz-polarization factor, no thermal factor.

Main lines, sorted by position (10° ≤ 2θ ≤ 90°):
| d/Å | 2θ/deg | intensity |
| --- | --- | --- |
| 2.780 | 32.20 | 1000 |
| 2.776 | 32.25 | 198 |
| 2.442 | 36.81 | 852 |
| 1.836 | 49.66 | 174 |
| 1.833 | 49.75 | 175 |
| 1.470 | 63.26 | 259 |

Cell and atoms:
abc: 11.2439 4.8796 9.2222
angles: 90.00 115.45 90.00
Space group C2/m (No. 12)
Symmetry-distinct sites (fractional):
Pr: 0.0000 0.0000 0.0000
Pr: 0.1665 0.5000 0.6675
Cd: 0.0697 0.0000 0.3991
Cd: 0.2069 0.5000 0.0443
Ga: 0.1074 0.5000 0.2745

---

(6)
This entry pairs a crystal structure of Pm2Dy7Th with its computed XRD peak list. Radiation: Cu Kα X-rays. Structure: a DFT-relaxed cell (PBE, Alexandria).
Kinematic intensities with the Lorentz-polarization factor, no thermal factor.

Main lines, sorted by position (10° ≤ 2θ ≤ 90°):
| d/Å | 2θ/deg | intensity |
| --- | --- | --- |
| 2.921 | 30.61 | 326 |
| 2.774 | 32.27 | 250 |
| 2.678 | 33.46 | 1000 |
| 2.012 | 45.07 | 200 |
| 1.635 | 56.25 | 230 |
| 1.583 | 58.30 | 159 |

Cell and atoms:
abc: 3.5883 11.6836 16.6463
angles: 90.00 90.00 90.00
Space group Immm (No. 71)
Symmetry-distinct sites (fractional):
Pm: 0.0000 0.0000 0.1689
Dy: 0.0000 0.0000 0.5000
Dy: 0.0000 0.2478 0.3484
Dy: 0.0000 0.5000 0.1658
Th: 0.0000 0.5000 0.5000

---

(7)
This entry pairs a crystal structure of Ac2LaPm2Nd with its computed XRD peak list. Radiation: Cu Kα X-rays. Structure: a DFT-relaxed cell (PBE, Alexandria).
Kinematic intensities with the Lorentz-polarization factor, no thermal factor.

Main lines, sorted by position (10° ≤ 2θ ≤ 90°):
| d/Å | 2θ/deg | intensity |
| --- | --- | --- |
| 3.020 | 29.58 | 1000 |
| 2.999 | 29.79 | 359 |
| 2.987 | 29.92 | 704 |
| 2.127 | 42.50 | 255 |
| 1.730 | 52.93 | 410 |
| 1.578 | 58.49 | 215 |

Cell and atoms:
abc: 7.4349 5.9976 10.3318
angles: 90.00 90.00 90.00
Space group Pmma (No. 51)
Symmetry-distinct sites (fractional):
Ac: 0.0000 0.0000 0.0000
Ac: 0.2500 0.5000 0.1700
La: 0.0000 0.5000 0.5000
Pm: 0.2500 0.0000 0.3426
Pm: 0.2500 0.5000 0.8252
Nd: 0.2500 0.0000 0.6657

---

(8)
This entry pairs a crystal structure of Ta7Mo with its computed XRD peak list. Radiation: Cu Kα X-rays. Structure: a DFT-relaxed cell (PBE, Alexandria).
Kinematic intensities with the Lorentz-polarization factor, no thermal factor.

Main lines, sorted by position (10° ≤ 2θ ≤ 90°):
| d/Å | 2θ/deg | intensity |
| --- | --- | --- |
| 2.337 | 38.52 | 1000 |
| 2.330 | 38.65 | 663 |
| 2.322 | 38.79 | 327 |
| 1.646 | 55.86 | 228 |
| 1.347 | 69.81 | 176 |
| 1.344 | 69.99 | 233 |

Cell and atoms:
abc: 2.8684 9.2861 5.4746
angles: 90.00 100.31 90.00
Space group P2/m (No. 10)
Symmetry-distinct sites (fractional):
Ta: 0.0000 0.0000 0.0000
Ta: 0.0000 0.5000 0.0000
Ta: 0.2645 0.2458 0.7473
Ta: 0.5000 0.5000 0.5000
Mo: 0.5000 0.0000 0.5000

---

(9)
This entry pairs a crystal structure of ZnCdCuRh with its computed XRD peak list. Radiation: Cu Kα X-rays. Structure: a DFT-relaxed cell (PBE, Alexandria).
Kinematic intensities with the Lorentz-polarization factor, no thermal factor.

Main lines, sorted by position (10° ≤ 2θ ≤ 90°):
| d/Å | 2θ/deg | intensity |
| --- | --- | --- |
| 2.259 | 39.90 | 1000 |
| 2.058 | 44.00 | 188 |
| 1.946 | 46.68 | 157 |
| 1.879 | 48.46 | 140 |
| 1.223 | 78.12 | 128 |
| 1.175 | 82.00 | 113 |

Cell and atoms:
abc: 3.7571 3.8915 4.1160
angles: 90.00 90.00 90.00
Space group Pmmm (No. 47)
Symmetry-distinct sites (fractional):
Zn: 0.0000 0.0000 0.0000
Cd: 0.0000 0.5000 0.5000
Cu: 0.5000 0.0000 0.5000
Rh: 0.5000 0.5000 0.0000

---

(10)
This entry pairs a crystal structure of Sc4InNi with its computed XRD peak list. Radiation: Cu Kα X-rays. Structure: a DFT-relaxed cell (PBE, Alexandria).
Kinematic intensities with the Lorentz-polarization factor, no thermal factor.

Main lines, sorted by position (10° ≤ 2θ ≤ 90°):
| d/Å | 2θ/deg | intensity |
| --- | --- | --- |
| 3.802 | 23.40 | 1000 |
| 2.358 | 38.16 | 986 |
| 2.271 | 39.69 | 478 |
| 2.063 | 43.88 | 183 |
| 1.950 | 46.58 | 306 |
| 1.328 | 71.00 | 320 |

Cell and atoms:
abc: 4.5420 4.5420 6.9478
angles: 90.00 90.00 90.00
Space group P4/mmm (No. 123)
Symmetry-distinct sites (fractional):
Sc: 0.0000 0.5000 0.2169
In: 0.0000 0.0000 0.5000
Ni: 0.5000 0.5000 0.0000

---

(11)
This entry pairs a crystal structure of LiMg6 with its computed XRD peak list. Radiation: Cu Kα X-rays. Structure: a DFT-relaxed cell (PBE, Alexandria).
Kinematic intensities with the Lorentz-polarization factor, no thermal factor.

Main lines, sorted by position (10° ≤ 2θ ≤ 90°):
| d/Å | 2θ/deg | intensity |
| --- | --- | --- |
| 6.638 | 13.34 | 140 |
| 2.509 | 35.79 | 986 |
| 2.502 | 35.90 | 1000 |
| 1.771 | 51.59 | 315 |
| 1.448 | 64.36 | 475 |
| 1.443 | 64.59 | 134 |

Cell and atoms:
abc: 13.2754 13.2754 3.0596
angles: 90.00 90.00 120.00
Space group R-3 (No. 148, hexagonal axes)
Symmetry-distinct sites (fractional):
Li: 0.0000 0.0000 0.0000
Mg: 0.0422 0.2324 0.7031

---

(12)
This entry pairs a crystal structure of SrHoZn2Ga2 with its computed XRD peak list. Radiation: Cu Kα X-rays. Structure: a DFT-relaxed cell (PBE, Alexandria).
Kinematic intensities with the Lorentz-polarization factor, no thermal factor.

Main lines, sorted by position (10° ≤ 2θ ≤ 90°):
| d/Å | 2θ/deg | intensity |
| --- | --- | --- |
| 7.698 | 11.50 | 350 |
| 2.741 | 32.67 | 1000 |
| 2.255 | 39.99 | 609 |
| 1.741 | 52.55 | 257 |
| 1.464 | 63.56 | 135 |
| 1.378 | 68.03 | 234 |

Cell and atoms:
abc: 4.5094 4.5094 7.6978
angles: 90.00 90.00 120.00
Space group P-3m1 (No. 164)
Symmetry-distinct sites (fractional):
Sr: 0.0000 0.0000 0.0000
Ho: 0.0000 0.0000 0.5000
Zn: 0.3333 0.6667 0.7010
Ga: 0.3333 0.6667 0.2952

---

(13)
This entry pairs a crystal structure of CaCr4 with its computed XRD peak list. Radiation: Cu Kα X-rays. Structure: a DFT-relaxed cell (PBE, Alexandria).
Kinematic intensities with the Lorentz-polarization factor, no thermal factor.

Main lines, sorted by position (10° ≤ 2θ ≤ 90°):
| d/Å | 2θ/deg | intensity |
| --- | --- | --- |
| 4.724 | 18.79 | 181 |
| 3.340 | 26.69 | 615 |
| 2.362 | 38.10 | 1000 |
| 1.928 | 47.13 | 155 |
| 1.494 | 62.14 | 183 |
| 1.364 | 68.85 | 289 |

Cell and atoms:
abc: 6.6805 6.6805 6.6805
angles: 90.00 90.00 90.00
Space group Im-3m (No. 229)
Symmetry-distinct sites (fractional):
Ca: 0.0000 0.0000 0.0000
Cr: 0.2500 0.2500 0.2500

---

(14)
This entry pairs a crystal structure of DyY12Er6 with its computed XRD peak list. Radiation: Cu Kα X-rays. Structure: a DFT-relaxed cell (PBE, Alexandria).
Kinematic intensities with the Lorentz-polarization factor, no thermal factor.

Main lines, sorted by position (10° ≤ 2θ ≤ 90°):
| d/Å | 2θ/deg | intensity |
| --- | --- | --- |
| 2.933 | 30.48 | 339 |
| 2.838 | 31.52 | 241 |
| 2.794 | 32.03 | 1000 |
| 2.722 | 32.90 | 559 |
| 2.664 | 33.64 | 388 |
| 1.641 | 56.04 | 167 |

Cell and atoms:
abc: 11.8332 11.8332 15.3049
angles: 90.00 90.00 120.00
Space group R-3 (No. 148, hexagonal axes)
Symmetry-distinct sites (fractional):
Dy: 0.0000 0.0000 0.0000
Y: 0.0109 0.1799 0.1904
Y: 0.0425 0.1920 0.4149
Er: 0.0131 0.5876 0.6810